(1)
Theoretical PXRD pattern of Na4Sn2Ge5O17 for Cu Ka, from a cell relaxed with GGA-PBE.
Intensities are scaled so that the largest is 100.

Most intense lines, 2θ = 5–70°, by angle:
2θ (°)  d_spacing  I_rel  (hkl)
8.67  10.200  34.9  0 0 2
13.01  6.803  56.6  1 0 -1
17.39  5.100  38.6  0 0 4
20.56  4.320  83.4  1 1 0
22.63  3.929  51.6  1 1 2
26.21  3.400  45.6  0 0 6
27.52  3.241  53.3  1 1 4
30.23  2.957  100.0  2 1 -1
32.56  2.750  53.7  1 0 -7
32.83  2.728  31.3  0 2 0
34.12  2.628  34.8  1 1 6
37.42  2.403  38.1  0 2 4

Atomic structure:
```
56
Lattice="7.084 0.000 0.000 0.000 5.455 0.000 -1.157 0.000 20.400" Properties=species:S:1:pos:R:3 pbc="T T T"
Na 0.496 0.000 4.508
Na 0.295 4.139 19.579
Na 1.433 4.117 11.023
Na 2.381 2.801 5.648
Na 3.546 2.801 14.752
Na 4.494 4.117 9.376
Na 5.632 4.139 0.821
Na 5.431 0.000 15.891
Sn -0.444 2.826 13.482
Sn 2.238 5.449 17.140
Sn 3.689 5.449 3.260
Sn 6.371 2.826 6.918
Ge -0.579 1.401 10.200
Ge 0.038 2.595 16.864
Ge 1.206 0.062 7.842
Ge 1.768 2.778 2.348
Ge 1.767 0.213 13.755
Ge 3.542 1.445 0.000
Ge 4.160 0.213 6.644
Ge 4.159 2.778 18.051
Ge 4.721 0.062 12.558
Ge 5.889 2.595 3.536
O 0.000 0.415 0.000
O -0.861 3.236 15.482
O -0.003 2.590 2.168
O -0.014 2.411 11.492
O 0.601 1.199 6.644
O 0.674 0.281 9.553
O 0.499 4.648 13.095
O 0.451 0.896 16.610
O 1.048 3.842 7.354
O 1.931 4.487 2.748
O 1.344 1.911 14.018
O 1.288 3.636 17.527
O 2.300 2.555 0.648
O 2.412 1.651 3.531
O 1.698 0.469 19.124
O 2.988 0.234 8.041
O 2.635 4.989 15.144
O 2.964 2.449 10.200
O 3.292 4.989 5.255
O 2.939 0.234 12.358
O 4.229 0.469 1.276
O 3.515 1.651 16.869
O 3.627 2.555 19.751
O 4.639 3.636 2.872
O 4.583 1.911 6.381
O 3.996 4.487 17.652
O 4.879 3.842 13.045
O 5.476 0.896 3.789
O 5.428 4.648 7.305
O 5.253 0.281 10.846
O 5.326 1.199 13.755
O 5.941 2.411 8.908
O 5.930 2.590 18.231
O 6.788 3.236 4.918
```



(2)
Theoretical PXRD pattern of Na4Sn2Ge5O17 for Cu Ka, from a cell relaxed with GGA-PBE.
Intensities are scaled so that the largest is 100.

Most intense lines, 2θ = 5–70°, by angle:
2θ (°)  d_spacing  I_rel  (hkl)
8.64  10.229  36.9  0 0 2
12.99  6.816  56.1  1 0 0
17.34  5.114  38.0  0 0 4
20.54  4.323  83.2  1 1 -1
22.61  3.933  52.2  1 1 -3
26.14  3.409  46.3  0 0 6
27.48  3.246  51.8  1 1 -5
30.19  2.960  100.0  2 1 -1
32.46  2.758  53.4  1 0 6
32.82  2.729  34.0  0 2 0
34.04  2.634  50.2  1 1 -7
37.39  2.405  37.8  0 2 4

Atomic structure:
```
56
Lattice="7.094 0.000 0.000 0.000 5.458 0.000 -5.909 0.000 20.457" Properties=species:S:1:pos:R:3 pbc="T T T"
Na -2.009 1.335 9.656
Na -4.964 4.123 19.885
Na 0.029 5.456 5.944
Na -2.926 0.002 16.173
Na 4.111 5.456 4.284
Na 1.156 0.002 14.513
Na 6.149 1.335 0.572
Na 3.194 4.123 10.801
Sn 2.209 1.306 1.819
Sn -0.745 4.152 12.047
Sn 1.930 1.306 8.410
Sn -1.025 4.152 18.638
Ge -2.676 1.374 12.980
Ge 0.279 4.084 2.752
Ge -3.231 1.554 18.895
Ge -0.277 3.904 8.667
Ge -0.885 2.707 15.343
Ge 2.070 2.751 5.114
Ge 1.461 1.554 11.791
Ge 4.416 3.904 1.562
Ge 0.906 1.374 17.706
Ge 3.861 4.084 7.477
O -1.477 1.676 5.114
O -4.432 3.782 15.343
O -4.413 1.583 17.507
O -1.459 3.875 7.278
O 0.435 0.323 2.302
O -2.520 5.135 12.530
O -2.051 2.508 11.785
O 0.904 2.950 1.557
O -4.119 0.879 20.275
O -1.164 4.579 10.046
O -2.133 1.596 14.689
O 0.821 3.862 4.460
O 0.138 2.204 8.935
O -2.817 3.254 19.164
O -1.966 0.520 18.247
O 1.453 1.749 6.407
O -1.502 3.709 16.635
O 0.989 4.938 8.018
O 0.196 0.520 12.439
O 2.687 1.749 3.822
O -0.268 3.709 14.050
O 3.151 4.938 2.210
O 4.002 2.204 1.294
O 1.047 3.254 11.522
O 0.363 1.596 15.997
O 3.318 3.862 5.768
O 2.349 0.879 10.411
O 5.304 4.579 0.182
O 0.281 2.508 18.901
O 3.236 2.950 8.672
O 3.705 0.323 7.927
O 0.750 5.135 18.156
O 2.643 1.583 13.179
O 5.598 3.875 2.951
```



(3)
Theoretical PXRD pattern of Na4SrGe6O15 for Cu Ka, from a cell relaxed with GGA-PBE.
Intensities are scaled so that the largest is 100.

Most intense lines, 2θ = 5–70°, by angle:
2θ (°)  d_spacing  I_rel  (hkl)
9.20  9.614  78.2  1 0 0
18.46  4.807  21.5  2 0 0
23.73  3.750  88.6  2 0 1
28.73  3.107  14.5  1 2 1
31.66  2.826  17.7  3 0 1
32.25  2.775  90.9  2 2 0
33.61  2.666  16.8  1 3 0
35.29  2.543  100.0  2 0 2
45.82  1.980  15.1  4 1 1
48.55  1.875  45.6  4 0 2
59.49  1.554  36.4  2 4 2
61.91  1.499  14.7  0 0 4

Atomic structure:
```
52
Lattice="11.101 0.000 0.000 -5.551 9.614 0.000 0.000 0.000 5.995" Properties=species:S:1:pos:R:3 pbc="T T T"
Na 0.000 0.000 0.000
Na 0.000 0.000 2.997
Na -3.276 8.053 1.499
Na 0.215 2.751 1.499
Na 2.490 1.190 4.496
Na 3.061 8.425 1.499
Na 5.336 6.863 4.496
Na 8.827 1.561 4.496
Sr 0.000 6.409 1.499
Sr 5.551 3.205 4.496
Ge -2.775 4.807 0.000
Ge -2.775 4.807 2.997
Ge -2.435 7.554 4.496
Ge 0.227 3.729 4.496
Ge 3.343 1.668 1.499
Ge 5.551 0.000 0.000
Ge 5.551 0.000 2.997
Ge 2.775 4.807 0.000
Ge 2.775 4.807 2.997
Ge 2.208 7.946 4.496
Ge 5.324 5.885 1.499
Ge 7.985 2.061 1.499
O -1.683 4.432 1.499
O -3.935 8.447 4.496
O -1.512 4.288 4.496
O 0.203 1.983 4.496
O -2.110 6.597 3.023
O -2.110 6.597 5.969
O 1.818 0.816 1.499
O 0.893 4.488 3.023
O 0.893 4.488 5.969
O -1.081 8.780 4.496
O -0.871 8.856 1.499
O 2.957 3.454 1.499
O 2.996 3.674 4.496
O 4.333 1.471 0.026
O 4.333 1.471 2.972
O 1.217 8.143 3.023
O 1.217 8.143 5.969
O 2.555 5.940 1.499
O 2.593 6.160 4.496
O 6.422 0.758 4.496
O 6.632 0.834 1.499
O 4.658 5.126 0.026
O 4.658 5.126 2.972
O 3.732 8.798 4.496
O 7.661 3.017 0.026
O 7.661 3.017 2.972
O 5.348 7.632 1.499
O 7.063 5.326 1.499
O 9.486 1.167 1.499
O 7.234 5.183 4.496
```